For La2Ni12P5, a structure optimized by DFT (GGA-PBE) gives the theoretical powder X-ray diffraction pattern in this record (λ = 1.5418 Å (Cu Kα)).
Kinematic intensities with the Lorentz-polarization factor, no thermal factor.

Most intense lines, 2θ from 10° to 90°, in order of rising 2θ:
- d 2.784, I = 28
- d 2.767, I = 33
- d 2.522, I = 81
- d 2.389, I = 99
- d 2.383, I = 100
- d 2.121, I = 80
- d 1.875, I = 24
- d 1.842, I = 86

Structure:
Cell: 10.9098 3.6836 13.1381 Å, 90.00 107.92 90.00°
Sites, in units of the cell vectors:
La: 0.2210 0.2500 0.1833
La: 0.2523 0.2500 0.6878
La: 0.7477 0.7500 0.3122
La: 0.7790 0.7500 0.8167
Ni: 0.0619 0.7500 0.2967
Ni: 0.0784 0.7500 0.9903
Ni: 0.0805 0.7500 0.4901
Ni: 0.0941 0.7500 0.8049
Ni: 0.2015 0.2500 0.4185
Ni: 0.2134 0.2500 0.9383
Ni: 0.3431 0.7500 0.0614
Ni: 0.3437 0.7500 0.3647
Ni: 0.4283 0.2500 0.5145
Ni: 0.4346 0.2500 0.9483
Ni: 0.4894 0.7500 0.6509
Ni: 0.4937 0.7500 0.8410
Ni: 0.5063 0.2500 0.1590
Ni: 0.5106 0.2500 0.3491
Ni: 0.5654 0.7500 0.0517
Ni: 0.5717 0.7500 0.4855
Ni: 0.6563 0.2500 0.6353
Ni: 0.6569 0.2500 0.9386
Ni: 0.7866 0.7500 0.0617
Ni: 0.7985 0.7500 0.5815
Ni: 0.9059 0.2500 0.1951
Ni: 0.9195 0.2500 0.5099
Ni: 0.9216 0.2500 0.0097
Ni: 0.9381 0.2500 0.7033
P: 0.0078 0.2500 0.8786
P: 0.0076 0.7500 0.6287
P: 0.2996 0.7500 0.5164
P: 0.3110 0.7500 0.8876
P: 0.4517 0.7500 0.2407
P: 0.5483 0.2500 0.7593
P: 0.6890 0.2500 0.1124
P: 0.7004 0.2500 0.4836
P: 0.9924 0.2500 0.3713
P: 0.9922 0.7500 0.1214

For La2NiP2Pt, a structure optimized by DFT (GGA-PBE) gives the theoretical powder X-ray diffraction pattern in this record (λ = 1.5418 Å (Cu Kα)).
Kinematic intensities with the Lorentz-polarization factor, no thermal factor.

Most intense lines, 2θ from 10° to 90°, in order of rising 2θ:
- d 8.195, I = 14
- d 3.591, I = 13
- d 3.289, I = 28
- d 2.701, I = 100
- d 2.073, I = 41
- d 1.645, I = 22
- d 1.457, I = 26
- d 1.288, I = 20

Structure:
Cell: 4.1468 4.1468 8.1954 Å, 90.00 90.00 120.00°
Sites, in units of the cell vectors:
La: 0.0000 0.0000 0.2433
La: 0.0000 0.0000 0.7567
Ni: 0.3333 0.6667 0.0000
P: 0.3333 0.6667 0.5000
P: 0.6667 0.3333 0.0000
Pt: 0.6667 0.3333 0.5000

For La2PrNiPt2Pb3, a structure optimized by DFT (GGA-PBE) gives the theoretical powder X-ray diffraction pattern in this record (λ = 1.5418 Å (Cu Kα)).
Kinematic intensities with the Lorentz-polarization factor, no thermal factor.

Most intense lines, 2θ from 10° to 90°, in order of rising 2θ:
- d 2.839, I = 100
- d 2.622, I = 78
- d 2.584, I = 76
- d 2.279, I = 31
- d 2.184, I = 44
- d 2.043, I = 27
- d 1.603, I = 36
- d 1.464, I = 31

Structure:
Cell: 4.0855 7.8993 7.8993 Å, 120.10 90.00 90.00°
Sites, in units of the cell vectors:
La: 0.0000 0.2056 0.7944
La: 0.0000 0.7944 0.2056
Pr: 0.0000 0.6150 0.6150
Ni: 0.0000 0.2068 0.2068
Pt: 0.5000 0.5393 0.8740
Pt: 0.5000 0.8740 0.5393
Pb: 0.5000 0.2075 0.4505
Pb: 0.5000 0.4505 0.2075
Pb: 0.5000 0.9602 0.9602

For LaSm2Si4Ni2Pd2, a structure optimized by DFT (GGA-PBE) gives the theoretical powder X-ray diffraction pattern in this record (λ = 1.5418 Å (Cu Kα)).
Kinematic intensities with the Lorentz-polarization factor, no thermal factor.

Most intense lines, 2θ from 10° to 90°, in order of rising 2θ:
- d 3.727, I = 20
- d 3.114, I = 19
- d 2.637, I = 100
- d 2.627, I = 32
- d 2.252, I = 28
- d 2.107, I = 23
- d 2.047, I = 21
- d 1.515, I = 16

Structure:
Cell: 12.3481 12.3481 12.3481 Å, 160.92 160.35 27.52°
Sites, in units of the cell vectors:
La: 0.0000 0.0000 0.0000
Sm: 0.3466 0.8466 0.5000
Sm: 0.6534 0.1534 0.5000
Si: 0.2040 0.7040 0.5000
Si: 0.4496 0.4496 0.0000
Si: 0.5504 0.5504 0.0000
Si: 0.7960 0.2960 0.5000
Ni: 0.2494 0.2494 0.0000
Ni: 0.7506 0.7506 0.0000
Pd: 0.1021 0.6021 0.5000
Pd: 0.8979 0.3979 0.5000